For Ho3GaIr2, a PBE-relaxed structure gives the simulated powder XRD pattern in this record (Cu Kα (λ = 1.5418 Å)).
No peak broadening, texture or thermal motion is included.

Atomic structure:
a b c (Å): 11.681 3.949 11.724
angles (deg): 90.00 90.00 90.00
Element x y z (fractional)
1 Ho 0.050 0.250 0.122
2 Ho 0.134 0.750 0.573
3 Ho 0.199 0.250 0.823
4 Ho 0.301 0.750 0.323
5 Ho 0.366 0.250 0.073
6 Ho 0.450 0.750 0.622
7 Ho 0.550 0.250 0.378
8 Ho 0.634 0.750 0.927
9 Ho 0.699 0.250 0.677
10 Ho 0.801 0.750 0.177
11 Ho 0.866 0.250 0.427
12 Ho 0.950 0.750 0.878
13 Ga 0.121 0.250 0.373
14 Ga 0.379 0.750 0.873
15 Ga 0.621 0.250 0.127
16 Ga 0.879 0.750 0.627
17 Ir 0.006 0.750 0.309
18 Ir 0.188 0.750 0.992
19 Ir 0.312 0.250 0.492
20 Ir 0.494 0.250 0.809
21 Ir 0.506 0.750 0.191
22 Ir 0.688 0.750 0.508
23 Ir 0.812 0.250 0.008
24 Ir 0.994 0.250 0.691

Most intense lines, 10° ≤ 2θ ≤ 90°, low angle first:
d 4.137, 21.48 deg, I = 31; d 2.857, 31.31 deg, I = 48; d 2.778, 32.22 deg, I = 63; d 2.701, 33.16 deg, I = 66; d 2.507, 35.82 deg, I = 100; d 2.304, 39.10 deg, I = 47; d 2.181, 41.40 deg, I = 54; d 2.008, 45.14 deg, I = 49; d 1.975, 45.96 deg, I = 47; d 1.408, 66.39 deg, I = 32


For Ho3GaIr8, a PBE-relaxed structure gives the simulated powder XRD pattern in this record (Cu Kα (λ = 1.5418 Å)).
No peak broadening, texture or thermal motion is included.

Atomic structure:
a b c (Å): 9.207 9.207 9.207
angles (deg): 33.62 33.62 33.62
Element x y z (fractional)
1 Ho 0.000 0.000 0.000
2 Ho 0.129 0.129 0.129
3 Ho 0.512 0.512 0.512
4 Ga 0.638 0.638 0.638
5 Ir 0.067 0.067 0.566
6 Ir 0.067 0.566 0.067
7 Ir 0.067 0.566 0.566
8 Ir 0.316 0.316 0.316
9 Ir 0.566 0.067 0.067
10 Ir 0.566 0.067 0.566
11 Ir 0.566 0.566 0.067
12 Ir 0.816 0.816 0.816

Most intense lines, 10° ≤ 2θ ≤ 90°, low angle first:
d 4.345, 20.44 deg, I = 18; d 2.661, 33.68 deg, I = 18; d 2.269, 39.72 deg, I = 100; d 2.173, 41.57 deg, I = 52; d 1.881, 48.38 deg, I = 11; d 1.449, 64.31 deg, I = 30; d 1.331, 70.77 deg, I = 15; d 1.330, 70.88 deg, I = 14; d 1.148, 84.36 deg, I = 9; d 1.135, 85.57 deg, I = 15